Entry 1:
Cs5HgAu2O: computed powder X-ray diffraction pattern (Cu Ka), based on a crystal structure in Alexandria, relaxed with GGA-PBE.

Top 10 peaks for 5° ≤ 2θ ≤ 70°, low angle first:
2θ (°), intensity
18.48, 25
20.75, 47
21.58, 20
25.57, 91
28.98, 62
30.08, 100
35.48, 23
42.23, 49
51.38, 38
54.72, 17

Structure:
a b c (Å): 10.090 10.090 10.090
angles (deg): 145.70 127.79 63.97
Atoms (fractional coordinates):
Cs  0.000  0.000  0.000
Cs  0.097  0.375  0.722
Cs  0.347  0.625  0.722
Cs  0.653  0.375  0.278
Cs  0.903  0.625  0.278
Hg  0.500  0.000  0.500
Au  0.209  0.209  0.000
Au  0.791  0.791  0.000
O  0.000  0.500  0.500

=====

Entry 2:
ZrFe2Se: computed powder X-ray diffraction pattern (Cu Ka), based on a crystal structure in Alexandria, relaxed with GGA-PBE.

Top 10 peaks for 5° ≤ 2θ ≤ 70°, low angle first:
2θ (°), intensity
20.25, 9
34.42, 5
38.12, 100
41.17, 40
42.31, 75
42.95, 35
51.33, 2
54.62, 16
55.41, 16
67.02, 9

Structure:
a b c (Å): 9.162 3.316 4.284
angles (deg): 90.00 106.80 90.00
Atoms (fractional coordinates):
Zr  0.000  0.000  0.000
Zr  0.500  0.500  0.000
Fe  0.242  0.000  0.725
Fe  0.258  0.500  0.275
Fe  0.742  0.500  0.725
Fe  0.758  0.000  0.275
Se  0.000  0.500  0.500
Se  0.500  0.000  0.500